Diffraction record for KAc2Rh3O8. The PXRD pattern is calculated, not measured: it uses a cell relaxed with GGA-PBE and Cu Kα, 1.54184 Å.

Peak list (10 most intense, 10° ≤ 2θ ≤ 90°, low angle first)
2θ = 14.5°, rel. 54, (0 0 3); 2θ = 18.3°, rel. 79, (0 1 2); 2θ = 25.0°, rel. 39, (1 0 4); 2θ = 27.0°, rel. 49, (1 1 0); 2θ = 29.3°, rel. 42, (0 0 6); 2θ = 32.8°, rel. 77, (2 0 2); 2θ = 37.1°, rel. 100, (0 2 4); 2θ = 40.3°, rel. 36, (1 1 6); 2θ = 51.2°, rel. 31, (2 0 8); 2θ = 55.7°, rel. 36, (2 2 0)

Structure:
```
data_KAc2Rh3O8
_symmetry_space_group_name_H-M 'R 3 m'
_symmetry_Int_Tables_number 160
_symmetry_space_group_name_Hall 'R 3 -2"'
_cell_length_a 6.5993
_cell_length_b 6.5993
_cell_length_c 18.2701
_cell_angle_alpha 90.00
_cell_angle_beta 90.00
_cell_angle_gamma 120.00
loop_
_atom_site_label
_atom_site_type_symbol
_atom_site_fract_x
_atom_site_fract_y
_atom_site_fract_z
_atom_site_occupancy
K1 K 0.0000 0.0000 0.0000 1
Ac1 Ac 0.0000 0.0000 0.1769 1
Ac2 Ac 0.0000 0.0000 0.6644 1
Rh1 Rh 0.0043 0.5022 0.1571 1
O1 O 0.0000 0.0000 0.4399 1
O2 O 0.0000 0.0000 0.8706 1
O3 O 0.0275 0.5137 0.4282 1
O4 O 0.1949 0.3899 0.2238 1
```

=====

Diffraction record for RbHRu2. The PXRD pattern is calculated, not measured: it uses a cell relaxed with GGA-PBE and Cu Kα, 1.54184 Å.

Peak list (10 most intense, 10° ≤ 2θ ≤ 90°, low angle first)
2θ = 18.6°, rel. 13, (1 0 1); 2θ = 30.6°, rel. 23, (2 0 0); 2θ = 36.1°, rel. 100, (2 1 1); 2θ = 37.7°, rel. 47, (2 0 2); 2θ = 43.8°, rel. 8, (2 2 0); 2θ = 54.4°, rel. 8, (3 1 2); 2θ = 58.0°, rel. 33, (3 2 1); 2θ = 63.7°, rel. 30, (4 0 0); 2θ = 75.4°, rel. 11, (4 1 3); 2θ = 76.5°, rel. 11, (4 2 2)

Structure:
```
data_RbHRu2
_symmetry_space_group_name_H-M 'I 41/a m d'
_symmetry_Int_Tables_number 141
_cell_length_a 5.839
_cell_length_b 5.839
_cell_length_c 8.272
_cell_angle_alpha 90.00
_cell_angle_beta 90.00
_cell_angle_gamma 90.00
loop_
_symmetry_equiv_pos_as_xyz
'x,y,z'
'-x,-y,-z'
'-y+1/4,x+3/4,z+1/4'
'y+1/4,-x+3/4,-z+1/4'
'-x+1/2,-y,z+1/2'
'x+1/2,y,-z+1/2'
'y+1/4,-x+1/4,z+3/4'
'-y+1/4,x+1/4,-z+3/4'
'x,-y,-z'
'-x,y,z'
'-y+1/4,-x+1/4,-z+3/4'
'y+1/4,x+1/4,z+3/4'
'-x+1/2,y,-z+1/2'
'x+1/2,-y,z+1/2'
'y+1/4,x+3/4,-z+1/4'
'-y+1/4,-x+3/4,z+1/4'
'x+1/2,y+1/2,z+1/2'
'-x+1/2,-y+1/2,-z+1/2'
'-y+3/4,x+1/4,z+3/4'
'y+3/4,-x+1/4,-z+3/4'
'-x,-y+1/2,z'
'x,y+1/2,-z'
'y+3/4,-x+3/4,z+1/4'
'-y+3/4,x+3/4,-z+1/4'
'x+1/2,-y+1/2,-z+1/2'
'-x+1/2,y+1/2,z+1/2'
'-y+3/4,-x+3/4,-z+1/4'
'y+3/4,x+3/4,z+1/4'
'-x,y+1/2,-z'
'x,-y+1/2,z'
'y+3/4,x+1/4,-z+3/4'
'-y+3/4,-x+1/4,z+3/4'
loop_
_atom_site_label
_atom_site_type_symbol
_atom_site_fract_x
_atom_site_fract_y
_atom_site_fract_z
_atom_site_occupancy
Rb1 Rb 0.000 0.250 0.375 1
H1 H 0.000 0.250 0.875 1
Ru1 Ru 0.000 0.000 0.000 1
```

=====

Diffraction record for YbC6. The PXRD pattern is calculated, not measured: it uses a cell relaxed with GGA-PBE and Cu Kα, 1.54184 Å.

Peak list (10 most intense, 10° ≤ 2θ ≤ 90°, low angle first)
2θ = 19.5°, rel. 13, (0 0 2); 2θ = 23.7°, rel. 20, (1 0 0); 2θ = 25.7°, rel. 100, (1 0 1); 2θ = 30.9°, rel. 21, (1 0 2); 2θ = 38.1°, rel. 36, (1 0 3); 2θ = 39.6°, rel. 13, (0 0 4); 2θ = 41.6°, rel. 13, (1 1 0); 2θ = 46.4°, rel. 37, (1 1 2); 2θ = 49.5°, rel. 17, (2 0 1); 2θ = 66.7°, rel. 14, (2 1 1)

Structure:
```
data_YbC6
_symmetry_space_group_name_H-M 'P 63/m m c'
_symmetry_Int_Tables_number 194
_symmetry_space_group_name_Hall '-P 6c 2c'
_cell_length_a 4.3384
_cell_length_b 4.3384
_cell_length_c 9.1036
_cell_angle_alpha 90.00
_cell_angle_beta 90.00
_cell_angle_gamma 120.00
loop_
_atom_site_label
_atom_site_type_symbol
_atom_site_fract_x
_atom_site_fract_y
_atom_site_fract_z
_atom_site_occupancy
Yb1 Yb 0.3333 0.6667 0.2500 1
C1 C 0.0000 0.3334 0.0000 1
```

=====

Diffraction record for Pu2Ga4AgAu3. The PXRD pattern is calculated, not measured: it uses a cell relaxed with GGA-PBE and Cu Kα, 1.54184 Å.

Peak list (10 most intense, 10° ≤ 2θ ≤ 90°, low angle first)
2θ = 29.3°, rel. 21, (1 1 0); 2θ = 31.9°, rel. 65, (1 0 3); 2θ = 33.6°, rel. 100, (1 1 2); 2θ = 42.0°, rel. 58, (2 0 0); 2θ = 45.9°, rel. 39, (1 0 5); 2θ = 53.6°, rel. 31, (2 1 3); 2θ = 60.9°, rel. 19, (2 2 0); 2θ = 64.0°, rel. 30, (2 1 5); 2θ = 71.3°, rel. 23, (3 1 2); 2θ = 82.6°, rel. 16, (2 0 8)

Structure:
```
data_Pu2Ga4AgAu3
_symmetry_space_group_name_H-M 'P -4 m 2'
_symmetry_Int_Tables_number 115
_cell_length_a 4.304
_cell_length_b 4.304
_cell_length_c 11.125
_cell_angle_alpha 90.00
_cell_angle_beta 90.00
_cell_angle_gamma 90.00
loop_
_symmetry_equiv_pos_as_xyz
'x,y,z'
'y,-x,-z'
'-x,-y,z'
'-y,x,-z'
'-x,y,z'
'-y,-x,-z'
'x,-y,z'
'y,x,-z'
loop_
_atom_site_label
_atom_site_type_symbol
_atom_site_fract_x
_atom_site_fract_y
_atom_site_fract_z
_atom_site_occupancy
Pu1 Pu 0.000 0.500 0.249 1
Ga1 Ga 0.000 0.000 0.000 1
Ga2 Ga 0.000 0.500 0.637 1
Ga3 Ga 0.500 0.500 0.000 1
Ag1 Ag 0.000 0.000 0.500 1
Au1 Au 0.000 0.500 0.863 1
Au2 Au 0.500 0.500 0.500 1
```

=====

Diffraction record for Rb2Na. The PXRD pattern is calculated, not measured: it uses a cell relaxed with GGA-PBE and Cu Kα, 1.54184 Å.

Peak list (10 most intense, 10° ≤ 2θ ≤ 90°, low angle first)
2θ = 14.1°, rel. 29, (1 1 0); 2θ = 23.1°, rel. 74, (2 0 -1); 2θ = 23.8°, rel. 100, (1 1 1); 2θ = 24.1°, rel. 49, (0 2 0); 2θ = 25.3°, rel. 86, (3 1 0); 2θ = 33.6°, rel. 40, (2 2 -1); 2θ = 40.0°, rel. 23, (1 1 -2); 2θ = 42.2°, rel. 21, (1 3 1); 2θ = 42.9°, rel. 19, (5 1 -1); 2θ = 43.1°, rel. 20, (3 3 0)

Structure:
```
data_Rb2Na
_symmetry_space_group_name_H-M 'C 1 2/m 1'
_symmetry_Int_Tables_number 12
_cell_length_a 12.006
_cell_length_b 7.394
_cell_length_c 4.781
_cell_angle_alpha 90.00
_cell_angle_beta 93.57
_cell_angle_gamma 90.00
loop_
_symmetry_equiv_pos_as_xyz
'x,y,z'
'-x,-y,-z'
'-x,y,-z'
'x,-y,z'
'x+1/2,y+1/2,z'
'-x+1/2,-y+1/2,-z'
'-x+1/2,y+1/2,-z'
'x+1/2,-y+1/2,z'
loop_
_atom_site_label
_atom_site_type_symbol
_atom_site_fract_x
_atom_site_fract_y
_atom_site_fract_z
_atom_site_occupancy
Rb1 Rb 0.171 0.000 0.307 1
Na1 Na 0.000 0.500 0.000 1
```

=====

Diffraction record for CdTe2. The PXRD pattern is calculated, not measured: it uses a cell relaxed with GGA-PBE and Cu Kα, 1.54184 Å.

Peak list (10 most intense, 10° ≤ 2θ ≤ 90°, low angle first)
2θ = 15.8°, rel. 79, (0 0 2); 2θ = 25.8°, rel. 83, (1 1 2); 2θ = 28.7°, rel. 32, (0 2 1); 2θ = 30.0°, rel. 79, (2 0 0); 2θ = 31.4°, rel. 88, (1 1 3); 2θ = 36.7°, rel. 33, (0 2 3); 2θ = 45.4°, rel. 100, (1 1 5); 2θ = 47.6°, rel. 31, (1 3 2); 2θ = 48.1°, rel. 30, (2 2 3); 2θ = 64.3°, rel. 34, (3 1 5)

Structure:
```
data_CdTe2
_symmetry_space_group_name_H-M 'C m c e'
_symmetry_Int_Tables_number 64
_symmetry_space_group_name_Hall '-C 2ac 2'
_cell_length_a 5.951
_cell_length_b 6.484
_cell_length_c 11.223
_cell_angle_alpha 90.00
_cell_angle_beta 90.00
_cell_angle_gamma 90.00
loop_
_atom_site_label
_atom_site_type_symbol
_atom_site_fract_x
_atom_site_fract_y
_atom_site_fract_z
_atom_site_occupancy
Cd1 Cd 0.000 0.000 0.000 1
Te1 Te 0.000 0.108 0.392 1
```

=====

Diffraction record for Si5Se7. The PXRD pattern is calculated, not measured: it uses a cell relaxed with GGA-PBE and Cu Kα, 1.54184 Å.

Peak list (10 most intense, 10° ≤ 2θ ≤ 90°, low angle first)
2θ = 14.3°, rel. 25, (1 0 1); 2θ = 18.4°, rel. 31, (2 0 0); 2θ = 21.9°, rel. 31, (0 0 2); 2θ = 23.3°, rel. 100, (2 1 1); 2θ = 34.4°, rel. 41, (2 2 2); 2θ = 35.3°, rel. 20, (3 2 1); 2θ = 37.3°, rel. 29, (4 0 0); 2θ = 43.7°, rel. 40, (4 0 2); 2θ = 52.5°, rel. 25, (2 2 4); 2θ = 78.4°, rel. 17, (6 2 4)

Structure:
```
data_Si5Se7
_symmetry_space_group_name_H-M 'I 4 m m'
_symmetry_Int_Tables_number 107
_symmetry_space_group_name_Hall 'I 4 -2'
_cell_length_a 9.652
_cell_length_b 9.652
_cell_length_c 8.108
_cell_angle_alpha 90.00
_cell_angle_beta 90.00
_cell_angle_gamma 90.00
loop_
_atom_site_label
_atom_site_type_symbol
_atom_site_fract_x
_atom_site_fract_y
_atom_site_fract_z
_atom_site_occupancy
Si1 Si 0.000 0.000 0.000 1
Si2 Si 0.161 0.161 0.148 1
Se1 Se 0.000 0.000 0.733 1
Se2 Se 0.000 0.257 0.342 1
Se3 Se 0.000 0.500 0.224 1
```

=====

Diffraction record for LiH4Pt2. The PXRD pattern is calculated, not measured: it uses a cell relaxed with GGA-PBE and Cu Kα, 1.54184 Å.

Peak list (10 most intense, 10° ≤ 2θ ≤ 90°, low angle first)
2θ = 20.7°, rel. 100, (1 1 1); 2θ = 32.1°, rel. 37, (1 1 3); 2θ = 33.7°, rel. 31, (1 3 1); 2θ = 34.6°, rel. 29, (0 0 4); 2θ = 37.5°, rel. 23, (0 4 0); 2θ = 42.0°, rel. 16, (1 3 3); 2θ = 42.2°, rel. 67, (2 2 2); 2θ = 52.0°, rel. 19, (0 4 4); 2θ = 67.2°, rel. 17, (2 2 6); 2θ = 70.9°, rel. 15, (2 6 2)

Structure:
```
data_LiH4Pt2
_symmetry_space_group_name_H-M 'F d d d'
_symmetry_Int_Tables_number 70
_cell_length_a 5.406
_cell_length_b 9.592
_cell_length_c 10.365
_cell_angle_alpha 90.00
_cell_angle_beta 90.00
_cell_angle_gamma 90.00
loop_
_symmetry_equiv_pos_as_xyz
'x,y,z'
'-x,-y,-z'
'-x+1/4,-y+1/4,z'
'x+1/4,y+1/4,-z'
'x,-y+1/4,-z+1/4'
'-x,y+1/4,z+1/4'
'-x+1/4,y,-z+1/4'
'x+1/4,-y,z+1/4'
'x,y+1/2,z+1/2'
'-x,-y+1/2,-z+1/2'
'-x+1/4,-y+3/4,z+1/2'
'x+1/4,y+3/4,-z+1/2'
'x,-y+3/4,-z+3/4'
'-x,y+3/4,z+3/4'
'-x+1/4,y+1/2,-z+3/4'
'x+1/4,-y+1/2,z+3/4'
'x+1/2,y,z+1/2'
'-x+1/2,-y,-z+1/2'
'-x+3/4,-y+1/4,z+1/2'
'x+3/4,y+1/4,-z+1/2'
'x+1/2,-y+1/4,-z+3/4'
'-x+1/2,y+1/4,z+3/4'
'-x+3/4,y,-z+3/4'
'x+3/4,-y,z+3/4'
'x+1/2,y+1/2,z'
'-x+1/2,-y+1/2,-z'
'-x+3/4,-y+3/4,z'
'x+3/4,y+3/4,-z'
'x+1/2,-y+3/4,-z+1/4'
'-x+1/2,y+3/4,z+1/4'
'-x+3/4,y+1/2,-z+1/4'
'x+3/4,-y+1/2,z+1/4'
loop_
_atom_site_label
_atom_site_type_symbol
_atom_site_fract_x
_atom_site_fract_y
_atom_site_fract_z
_atom_site_occupancy
Li1 Li 0.125 0.125 0.125 1
H1 H 0.051 0.320 0.017 1
Pt1 Pt 0.000 0.000 0.500 1
```

=====

Diffraction record for TbSm4DyHo2. The PXRD pattern is calculated, not measured: it uses a cell relaxed with GGA-PBE and Cu Kα, 1.54184 Å.

Peak list (10 most intense, 10° ≤ 2θ ≤ 90°, low angle first)
2θ = 30.6°, rel. 100, (1 1 2); 2θ = 35.4°, rel. 17, (0 2 0); 2θ = 35.5°, rel. 17, (2 0 0); 2θ = 35.6°, rel. 17, (0 0 4); 2θ = 51.0°, rel. 24, (2 2 0); 2θ = 51.1°, rel. 12, (2 0 4); 2θ = 60.5°, rel. 14, (1 3 2); 2θ = 60.7°, rel. 14, (3 1 2); 2θ = 60.8°, rel. 14, (1 1 6); 2θ = 63.7°, rel. 12, (2 2 4)

Structure:
```
data_TbSm4DyHo2
_symmetry_space_group_name_H-M 'P 1 2/m 1'
_symmetry_Int_Tables_number 10
_cell_length_a 5.064
_cell_length_b 5.078
_cell_length_c 10.098
_cell_angle_alpha 90.00
_cell_angle_beta 90.04
_cell_angle_gamma 90.00
loop_
_symmetry_equiv_pos_as_xyz
'x,y,z'
'-x,-y,-z'
'-x,y,-z'
'x,-y,z'
loop_
_atom_site_label
_atom_site_type_symbol
_atom_site_fract_x
_atom_site_fract_y
_atom_site_fract_z
_atom_site_occupancy
Tb1 Tb 0.000 0.000 0.000 1
Sm1 Sm 0.000 0.500 0.250 1
Sm2 Sm 0.500 0.000 0.250 1
Dy1 Dy 0.500 0.500 0.500 1
Ho1 Ho 0.000 0.000 0.500 1
Ho2 Ho 0.500 0.500 0.000 1
```

=====

Diffraction record for Li5Sb2P5O18. The PXRD pattern is calculated, not measured: it uses a cell relaxed with GGA-PBE and Cu Kα, 1.54184 Å.

Peak list (10 most intense, 10° ≤ 2θ ≤ 90°, low angle first)
2θ = 11.5°, rel. 70, (0 1 1); 2θ = 18.4°, rel. 64, (1 1 -1); 2θ = 19.4°, rel. 100, (0 2 1); 2θ = 23.1°, rel. 42, (1 2 1); 2θ = 26.6°, rel. 71, (0 2 -2); 2θ = 27.2°, rel. 44, (2 0 -1); 2θ = 27.4°, rel. 49, (0 1 -3); 2θ = 27.5°, rel. 56, (2 1 0); 2θ = 28.7°, rel. 65, (-2 1 1); 2θ = 30.7°, rel. 48, (0 3 2)

Structure:
```
data_Li5Sb2P5O18
_symmetry_space_group_name_H-M 'P -1'
_symmetry_Int_Tables_number 2
_cell_length_a 6.862
_cell_length_b 9.526
_cell_length_c 11.093
_cell_angle_alpha 81.87
_cell_angle_beta 89.76
_cell_angle_gamma 88.60
loop_
_symmetry_equiv_pos_as_xyz
'x,y,z'
'-x,-y,-z'
loop_
_atom_site_label
_atom_site_type_symbol
_atom_site_fract_x
_atom_site_fract_y
_atom_site_fract_z
_atom_site_occupancy
Li1 Li 0.019 0.469 0.368 1
Li2 Li 0.141 0.275 0.164 1
Li3 Li 0.180 0.614 0.149 1
Li4 Li 0.330 0.123 0.353 1
Li5 Li 0.412 0.776 0.903 1
Sb1 Sb 0.216 0.137 0.900 1
Sb2 Sb 0.348 0.743 0.449 1
P1 P 0.144 0.919 0.667 1
P2 P 0.180 0.232 0.598 1
P3 P 0.220 0.491 0.900 1
P4 P 0.309 0.920 0.167 1
P5 P 0.474 0.428 0.283 1
O1 O 0.032 0.344 0.542 1
O2 O 0.038 0.168 0.327 1
O3 O 0.046 0.524 0.814 1
O4 O 0.069 0.083 0.616 1
O5 O 0.146 0.813 0.167 1
O6 O 0.206 0.337 0.974 1
O7 O 0.246 0.920 0.789 1
O8 O 0.251 0.073 0.108 1
O9 O 0.255 0.604 0.980 1
O10 O 0.259 0.257 0.721 1
O11 O 0.294 0.890 0.567 1
O12 O 0.295 0.516 0.311 1
O13 O 0.356 0.214 0.510 1
O14 O 0.373 0.592 0.612 1
O15 O 0.378 0.933 0.299 1
O16 O 0.419 0.472 0.825 1
O17 O 0.422 0.291 0.235 1
O18 O 0.480 0.863 0.088 1
```

=====

Diffraction record for Cd12In3Ga. The PXRD pattern is calculated, not measured: it uses a cell relaxed with GGA-PBE and Cu Kα, 1.54184 Å.

Peak list (10 most intense, 10° ≤ 2θ ≤ 90°, low angle first)
2θ = 34.3°, rel. 100, (1 1 4); 2θ = 39.7°, rel. 34, (2 0 0); 2θ = 40.3°, rel. 16, (0 0 8); 2θ = 57.3°, rel. 11, (2 2 0); 2θ = 57.8°, rel. 21, (2 0 8); 2θ = 68.6°, rel. 25, (3 1 4); 2θ = 69.4°, rel. 11, (1 1 12); 2θ = 72.4°, rel. 10, (2 2 8); 2θ = 85.5°, rel. 3, (4 0 0); 2θ = 87.0°, rel. 2, (0 0 16)

Structure:
```
data_Cd12In3Ga
_symmetry_space_group_name_H-M 'P 4/m m m'
_symmetry_Int_Tables_number 123
_symmetry_space_group_name_Hall '-P 4 2'
_cell_length_a 4.544
_cell_length_b 4.544
_cell_length_c 17.923
_cell_angle_alpha 90.00
_cell_angle_beta 90.00
_cell_angle_gamma 90.00
loop_
_atom_site_label
_atom_site_type_symbol
_atom_site_fract_x
_atom_site_fract_y
_atom_site_fract_z
_atom_site_occupancy
Cd1 Cd 0.000 0.000 0.000 1
Cd2 Cd 0.000 0.000 0.247 1
Cd3 Cd 0.000 0.000 0.500 1
Cd4 Cd 0.000 0.500 0.119 1
Cd5 Cd 0.000 0.500 0.373 1
In1 In 0.500 0.500 0.246 1
In2 In 0.500 0.500 0.500 1
Ga1 Ga 0.500 0.500 0.000 1
```

=====

Diffraction record for TiReIr. The PXRD pattern is calculated, not measured: it uses a cell relaxed with GGA-PBE and Cu Kα, 1.54184 Å.

Peak list (10 most intense, 10° ≤ 2θ ≤ 90°, low angle first)
2θ = 22.6°, rel. 33, (1 1 1); 2θ = 39.9°, rel. 43, (0 4 0); 2θ = 41.0°, rel. 100, (2 2 1); 2θ = 41.1°, rel. 78, (0 2 3); 2θ = 41.4°, rel. 36, (2 0 2); 2θ = 58.8°, rel. 24, (2 4 2); 2θ = 60.1°, rel. 19, (2 0 4); 2θ = 73.2°, rel. 27, (0 6 3); 2θ = 74.6°, rel. 19, (2 4 4); 2θ = 84.9°, rel. 22, (4 2 3)

Structure:
```
data_TiReIr
_symmetry_space_group_name_H-M 'C m c e'
_symmetry_Int_Tables_number 64
_symmetry_space_group_name_Hall '-C 2ac 2'
_cell_length_a 5.348
_cell_length_b 9.046
_cell_length_c 7.530
_cell_angle_alpha 90.00
_cell_angle_beta 90.00
_cell_angle_gamma 90.00
loop_
_atom_site_label
_atom_site_type_symbol
_atom_site_fract_x
_atom_site_fract_y
_atom_site_fract_z
_atom_site_occupancy
Ti1 Ti 0.000 0.144 0.062 1
Re1 Re 0.000 0.110 0.399 1
Ir1 Ir 0.250 0.130 0.750 1
```